# 1
For Li3MnP2HO8, DFT lattice parameters and positions (GGA+U) gives the calculated X-ray powder pattern in this record (Cu Kα (weighted mean of Kα1 and Kα2)).
Peak positions follow from Bragg's law for the DFT cell and can differ from measured ones.

Atomic structure:
```
data_Li3MnP2HO8
_cell_length_a 5.026
_cell_length_b 8.486
_cell_length_c 7.637
_cell_angle_alpha 90.00
_cell_angle_beta 104.04
_cell_angle_gamma 90.00
_symmetry_space_group_name_H-M 'P 1 21 1'
_symmetry_Int_Tables_number 4
loop_
_symmetry_equiv_pos_as_xyz
'x,y,z'
'-x,y+1/2,-z'
loop_
_atom_site_label
_atom_site_type_symbol
_atom_site_fract_x
_atom_site_fract_y
_atom_site_fract_z
_atom_site_occupancy
Li1 Li 0.067 0.000 0.307 1
Li2 Li 0.138 0.156 0.623 1
Li3 Li 0.394 0.481 0.969 1
Mn1 Mn 0.237 0.809 0.737 1
P1 P 0.123 0.180 0.970 1
P2 P 0.377 0.447 0.539 1
H1 H 0.315 0.826 0.226 1
O1 O 0.034 0.782 0.194 1
O2 O 0.075 0.631 0.910 1
O3 O 0.181 0.319 0.440 1
O4 O 0.212 0.596 0.561 1
O5 O 0.233 0.034 0.886 1
O6 O 0.364 0.277 0.084 1
O7 O 0.372 0.975 0.540 1
O8 O 0.496 0.389 0.744 1
```

Peak list (6 most intense, 2θ from 10° to 90°, in order of falling intensity)
h k l, d (Å), 2θ/deg, intensity
1 0 1, 3.683, 24.17, 100
1 1 -2, 3.131, 28.51, 77
1 2 0, 3.201, 27.87, 37
0 2 2, 2.791, 32.07, 26
0 1 1, 5.581, 15.88, 23
1 1 -1, 4.058, 21.90, 22

# 2
For Li2MnP2HO8, DFT lattice parameters and positions (GGA+U) gives the calculated X-ray powder pattern in this record (Cu Kα (weighted mean of Kα1 and Kα2)).
Peak positions follow from Bragg's law for the DFT cell and can differ from measured ones.

Atomic structure:
```
data_Li2MnP2HO8
_cell_length_a 4.775
_cell_length_b 8.380
_cell_length_c 7.629
_cell_angle_alpha 90.00
_cell_angle_beta 104.49
_cell_angle_gamma 90.00
_symmetry_space_group_name_H-M 'P 1 21 1'
_symmetry_Int_Tables_number 4
loop_
_symmetry_equiv_pos_as_xyz
'x,y,z'
'-x,y+1/2,-z'
loop_
_atom_site_label
_atom_site_type_symbol
_atom_site_fract_x
_atom_site_fract_y
_atom_site_fract_z
_atom_site_occupancy
Li1 Li 0.138 0.000 0.099 1
Li2 Li 0.353 0.281 0.402 1
Mn1 Mn 0.248 0.641 0.253 1
P1 P 0.123 0.000 0.487 1
P2 P 0.380 0.282 0.008 1
H1 H 0.269 0.648 0.759 1
O1 O 0.003 0.589 0.694 1
O2 O 0.108 0.479 0.400 1
O3 O 0.139 0.166 0.908 1
O4 O 0.240 0.837 0.451 1
O5 O 0.262 0.443 0.049 1
O6 O 0.366 0.114 0.593 1
O7 O 0.387 0.802 0.101 1
O8 O 0.491 0.694 0.806 1
```

Peak list (6 most intense, 2θ from 10° to 90°, in order of falling intensity)
h k l, d (Å), 2θ/deg, intensity
1 1 -2, 3.086, 28.94, 100
1 0 1, 3.541, 25.15, 93
0 1 1, 5.541, 15.99, 84
0 2 1, 3.644, 24.42, 70
0 2 2, 2.771, 32.31, 64
1 2 0, 3.105, 28.75, 60

# 3
For Li2Mn2P4H3O16, DFT lattice parameters and positions (GGA+U) gives the calculated X-ray powder pattern in this record (Cu Kα (weighted mean of Kα1 and Kα2)).
Peak positions follow from Bragg's law for the DFT cell and can differ from measured ones.

Atomic structure:
```
data_Li2Mn2P4H3O16
_cell_length_a 4.853
_cell_length_b 7.380
_cell_length_c 8.254
_cell_angle_alpha 87.19
_cell_angle_beta 89.95
_cell_angle_gamma 75.27
_symmetry_space_group_name_H-M 'P 1'
_symmetry_Int_Tables_number 1
loop_
_symmetry_equiv_pos_as_xyz
'x,y,z'
loop_
_atom_site_label
_atom_site_type_symbol
_atom_site_fract_x
_atom_site_fract_y
_atom_site_fract_z
_atom_site_occupancy
Li1 Li 0.000 0.000 0.000 1
Li2 Li 0.187 0.716 0.723 1
Mn1 Mn 0.080 0.867 0.361 1
Mn2 Mn 0.594 0.364 0.868 1
P1 P 0.213 0.117 0.719 1
P2 P 0.463 0.135 0.208 1
P3 P 0.708 0.601 0.518 1
P4 P 0.959 0.623 0.008 1
H1 H 0.141 0.369 0.321 1
H2 H 0.620 0.851 0.854 1
H3 H 0.920 0.283 0.492 1
O1 O 0.027 0.694 0.167 1
O2 O 0.095 0.102 0.549 1
O3 O 0.220 0.523 0.906 1
O4 O 0.235 0.022 0.194 1
O5 O 0.331 0.335 0.268 1
O6 O 0.336 0.922 0.802 1
O7 O 0.435 0.236 0.707 1
O8 O 0.456 0.717 0.418 1
O9 O 0.585 0.164 0.036 1
O10 O 0.610 0.555 0.691 1
O11 O 0.707 0.033 0.322 1
O12 O 0.743 0.502 0.026 1
O13 O 0.838 0.804 0.890 1
O14 O 0.846 0.416 0.430 1
O15 O 0.936 0.716 0.532 1
O16 O 0.970 0.212 0.837 1
```

Peak list (6 most intense, 2θ from 10° to 90°, in order of falling intensity)
h k l, d (Å), 2θ/deg, intensity
1 -1 0, 3.529, 25.24, 100
1 2 1, 3.078, 29.01, 85
0 1 1, 5.532, 16.02, 66
1 2 -1, 3.000, 29.78, 59
0 1 2, 3.649, 24.39, 43
0 1 -1, 5.262, 16.85, 36

# 4
For LiMnP4H4O14, DFT lattice parameters and positions (GGA+U) gives the calculated X-ray powder pattern in this record (Cu Kα (weighted mean of Kα1 and Kα2)).
Peak positions follow from Bragg's law for the DFT cell and can differ from measured ones.

Atomic structure:
```
data_LiMnP4H4O14
_cell_length_a 5.232
_cell_length_b 7.126
_cell_length_c 8.061
_cell_angle_alpha 91.89
_cell_angle_beta 100.15
_cell_angle_gamma 110.17
_symmetry_space_group_name_H-M 'P -1'
_symmetry_Int_Tables_number 2
loop_
_symmetry_equiv_pos_as_xyz
'x,y,z'
'-x,-y,-z'
loop_
_atom_site_label
_atom_site_type_symbol
_atom_site_fract_x
_atom_site_fract_y
_atom_site_fract_z
_atom_site_occupancy
Li1 Li 0.000 0.000 0.000 1
Mn1 Mn 0.500 0.500 0.000 1
P1 P 0.019 0.628 0.775 1
P2 P 0.448 0.777 0.304 1
H1 H 0.101 0.209 0.438 1
H2 H 0.330 0.028 0.372 1
O1 O 0.070 0.779 0.639 1
O2 O 0.096 0.305 0.082 1
O3 O 0.212 0.572 0.329 1
O4 O 0.291 0.592 0.823 1
O5 O 0.302 0.934 0.265 1
O6 O 0.347 0.164 0.530 1
O7 O 0.441 0.258 0.853 1
```

Peak list (6 most intense, 2θ from 10° to 90°, in order of falling intensity)
h k l, d (Å), 2θ/deg, intensity
1 -1 1, 3.886, 22.89, 100
1 1 -1, 3.339, 26.70, 96
-1 1 2, 3.255, 27.40, 84
0 1 0, 6.654, 13.31, 78
0 1 -1, 5.363, 16.53, 63
0 2 1, 2.960, 30.19, 35

# 5
For LiMn2P2H4O10, DFT lattice parameters and positions (GGA+U) gives the calculated X-ray powder pattern in this record (Cu Kα (weighted mean of Kα1 and Kα2)).
Peak positions follow from Bragg's law for the DFT cell and can differ from measured ones.

Atomic structure:
```
data_LiMn2P2H4O10
_cell_length_a 5.085
_cell_length_b 5.506
_cell_length_c 7.694
_cell_angle_alpha 103.69
_cell_angle_beta 104.26
_cell_angle_gamma 99.59
_symmetry_space_group_name_H-M 'P 1'
_symmetry_Int_Tables_number 1
loop_
_symmetry_equiv_pos_as_xyz
'x,y,z'
loop_
_atom_site_label
_atom_site_type_symbol
_atom_site_fract_x
_atom_site_fract_y
_atom_site_fract_z
_atom_site_occupancy
Li1 Li 0.000 0.000 0.000 1
Mn1 Mn 0.418 0.617 0.082 1
Mn2 Mn 0.897 0.105 0.576 1
P1 P 0.327 0.182 0.334 1
P2 P 0.482 0.051 0.826 1
H1 H 0.025 0.635 0.763 1
H2 H 0.790 0.557 0.378 1
H3 H 0.833 0.462 0.857 1
H4 H 0.978 0.749 0.297 1
O1 O 0.015 0.493 0.821 1
O2 O 0.150 0.970 0.763 1
O3 O 0.202 0.248 0.498 1
O4 O 0.215 0.890 0.222 1
O5 O 0.237 0.330 0.191 1
O6 O 0.582 0.346 0.913 1
O7 O 0.591 0.963 0.655 1
O8 O 0.593 0.909 0.969 1
O9 O 0.653 0.259 0.414 1
O10 O 0.806 0.719 0.341 1
```

Peak list (6 most intense, 2θ from 10° to 90°, in order of falling intensity)
h k l, d (Å), 2θ/deg, intensity
0 1 1, 3.717, 23.94, 100
1 0 1, 3.518, 25.32, 82
-1 1 2, 2.707, 33.10, 80
0 1 0, 5.194, 17.07, 70
0 1 -1, 4.937, 17.97, 69
1 1 -2, 2.985, 29.93, 68

# 6
For Li4MnP6H8O22, DFT lattice parameters and positions (GGA+U) gives the calculated X-ray powder pattern in this record (Cu Kα (weighted mean of Kα1 and Kα2)).
Peak positions follow from Bragg's law for the DFT cell and can differ from measured ones.

Atomic structure:
```
data_Li4MnP6H8O22
_cell_length_a 7.084
_cell_length_b 7.355
_cell_length_c 9.093
_cell_angle_alpha 92.33
_cell_angle_beta 105.10
_cell_angle_gamma 90.22
_symmetry_space_group_name_H-M 'P -1'
_symmetry_Int_Tables_number 2
loop_
_symmetry_equiv_pos_as_xyz
'x,y,z'
'-x,-y,-z'
loop_
_atom_site_label
_atom_site_type_symbol
_atom_site_fract_x
_atom_site_fract_y
_atom_site_fract_z
_atom_site_occupancy
Li1 Li 0.123 0.122 0.464 1
Li2 Li 0.221 0.999 0.773 1
Mn1 Mn 0.000 0.500 0.000 1
P1 P 0.224 0.441 0.718 1
P2 P 0.312 0.730 0.529 1
P3 P 0.465 0.299 0.160 1
H1 H 0.100 0.157 0.175 1
H2 H 0.108 0.946 0.181 1
H3 H 0.267 0.724 0.204 1
H4 H 0.279 0.776 0.035 1
O1 O 0.059 0.055 0.227 1
O2 O 0.073 0.526 0.787 1
O3 O 0.176 0.879 0.559 1
O4 O 0.187 0.746 0.097 1
O5 O 0.216 0.240 0.682 1
O6 O 0.223 0.536 0.560 1
O7 O 0.251 0.309 0.083 1
O8 O 0.364 0.720 0.382 1
O9 O 0.408 0.832 0.902 1
O10 O 0.442 0.497 0.824 1
O11 O 0.485 0.254 0.337 1
```

Peak list (6 most intense, 2θ from 10° to 90°, in order of falling intensity)
h k l, d (Å), 2θ/deg, intensity
0 1 0, 7.348, 12.04, 100
1 1 -1, 4.806, 18.46, 44
-2 1 1, 3.167, 28.18, 38
1 2 0, 3.217, 27.73, 36
-1 1 1, 4.717, 18.81, 35
1 1 -3, 2.802, 31.94, 30

# 7
For Li3MnP2HO8, DFT lattice parameters and positions (GGA+U) gives the calculated X-ray powder pattern in this record (Cu Kα (weighted mean of Kα1 and Kα2)).
Peak positions follow from Bragg's law for the DFT cell and can differ from measured ones.

Atomic structure:
```
data_Li3MnP2HO8
_cell_length_a 5.104
_cell_length_b 5.123
_cell_length_c 6.293
_cell_angle_alpha 90.68
_cell_angle_beta 90.13
_cell_angle_gamma 113.62
_symmetry_space_group_name_H-M 'P -1'
_symmetry_Int_Tables_number 2
loop_
_symmetry_equiv_pos_as_xyz
'x,y,z'
'-x,-y,-z'
loop_
_atom_site_label
_atom_site_type_symbol
_atom_site_fract_x
_atom_site_fract_y
_atom_site_fract_z
_atom_site_occupancy
Li1 Li 0.000 0.000 0.000 1
Li2 Li 0.383 0.776 0.742 1
Mn1 Mn 0.000 0.000 0.500 1
P1 P 0.359 0.640 0.251 1
H1 H 0.000 0.500 0.000 1
O1 O 0.219 0.702 0.042 1
O2 O 0.245 0.749 0.443 1
O3 O 0.274 0.313 0.260 1
O4 O 0.313 0.190 0.765 1
```

Peak list (6 most intense, 2θ from 10° to 90°, in order of falling intensity)
h k l, d (Å), 2θ/deg, intensity
-1 1 1, 3.529, 25.24, 100
0 1 -1, 3.787, 23.49, 86
1 0 1, 3.739, 23.80, 70
1 0 2, 2.600, 34.50, 65
0 0 1, 6.292, 14.08, 44
1 -2 0, 2.546, 35.26, 44